No. 1
For Ho4Ga12Hg, a GGA-PBE-relaxed structure gives the calculated powder diffraction line list in this record (Cu Kα (weighted mean of Kα1 and Kα2)).
Intensities are scaled so that the largest is 1000.

Atomic structure:
a = 7.5837 Å, b = 7.5837 Å, c = 7.5837 Å
α = 109.47°, β = 109.47°, γ = 109.47°
Positions (direct):
Ho: 0.0000 0.0000 0.5000
Ho: 0.0000 0.5000 0.0000
Ho: 0.5000 0.0000 0.0000
Ho: 0.5000 0.5000 0.5000
Ga: 0.0000 0.3124 0.3124
Ga: 0.0000 0.6876 0.6876
Ga: 0.2500 0.5000 0.7500
Ga: 0.2500 0.7500 0.5000
Ga: 0.3124 0.0000 0.3124
Ga: 0.3124 0.3124 0.0000
Ga: 0.5000 0.2500 0.7500
Ga: 0.5000 0.7500 0.2500
Ga: 0.6876 0.0000 0.6876
Ga: 0.6876 0.6876 0.0000
Ga: 0.7500 0.2500 0.5000
Ga: 0.7500 0.5000 0.2500
Hg: 0.0000 0.0000 0.0000

Largest 8 diffraction maxima, by angle, 2θ from 10° to 90°:
2θ 28.84, intensity 734
2θ 35.51, intensity 1000
2θ 38.46, intensity 349
2θ 41.24, intensity 861
2θ 48.78, intensity 223
2θ 59.74, intensity 472
2θ 67.67, intensity 232
2θ 71.46, intensity 257


No. 2
For Sm10DySc4, a GGA-PBE-relaxed structure gives the calculated powder diffraction line list in this record (Cu Kα (weighted mean of Kα1 and Kα2)).
Intensities are scaled so that the largest is 1000.

Atomic structure:
a = 8.8736 Å, b = 8.8736 Å, c = 8.8736 Å
α = 102.59°, β = 102.59°, γ = 124.34°
Positions (direct):
Sm: 0.0336 0.6919 0.1122
Sm: 0.0786 0.9664 0.6584
Sm: 0.2500 0.7500 0.5000
Sm: 0.3081 0.4203 0.3416
Sm: 0.4203 0.0786 0.1122
Sm: 0.5797 0.9214 0.8878
Sm: 0.6919 0.5797 0.6584
Sm: 0.7500 0.2500 0.5000
Sm: 0.9214 0.0336 0.3416
Sm: 0.9664 0.3081 0.8878
Dy: 0.0000 0.0000 0.0000
Sc: 0.2855 0.4356 0.7211
Sc: 0.4356 0.7145 0.1501
Sc: 0.5644 0.2855 0.8499
Sc: 0.7145 0.5644 0.2789

Largest 8 diffraction maxima, by angle, 2θ from 10° to 90°:
2θ 13.34, intensity 251
2θ 21.45, intensity 282
2θ 25.38, intensity 732
2θ 30.99, intensity 259
2θ 33.46, intensity 1000
2θ 36.20, intensity 536
2θ 37.26, intensity 357
2θ 63.36, intensity 276


- Which formula does entry 2 have?
  Sm10DySc4